(1)
Theoretical X-ray powder pattern of CuAs2Pb8Cl5O9 for Cu Ka, from a PBE-relaxed structure.

Unit cell a=13.6352 b=20.2952 c=7.7086 alpha=90.00 beta=106.19 gamma=90.00
Space group C2/m (No. 12)
Unique sites:
1 Cu 0.0000 0.0762 0.0000 (multiplicity 4)
2 As 0.1724 0.1149 0.0850 (multiplicity 8)
3 Pb 0.1441 0.3016 0.0773 (multiplicity 8)
4 Pb 0.1440 0.5000 0.0763 (multiplicity 4)
5 Pb 0.1448 0.5000 0.5704 (multiplicity 4)
6 Pb 0.1499 0.0966 0.5785 (multiplicity 8)
7 Pb 0.1500 0.2943 0.5723 (multiplicity 8)
8 Cl 0.0023 0.0000 0.7608 (multiplicity 4)
9 Cl 0.0027 0.4011 0.2528 (multiplicity 8)
10 Cl 0.0066 0.2094 0.2650 (multiplicity 8)
11 O 0.2278 0.1966 0.1079 (multiplicity 8)
12 O 0.2407 0.0873 0.3064 (multiplicity 8)
13 O 0.2405 0.0873 0.9281 (multiplicity 8)
14 O 0.2408 0.5000 0.3704 (multiplicity 4)
15 O 0.2478 0.1921 0.6282 (multiplicity 8)

Main lines, in order of falling intensity (5 to 70 degrees two-theta):
(hkl)	d/Å	I_rel
3 5 0	2.972	100
1 5 -2	2.795	94
1 5 0	3.877	50
2 0 -2	3.697	48
2 0 2	2.895	48
4 0 -2	2.883	46
5 5 -2	2.123	24
4 0 0	3.274	22
2 10 2	1.662	22
3 5 2	2.129	22
4 10 -2	1.659	21
0 10 0	2.030	21


(2)
Theoretical X-ray powder pattern of Cu2As4S3Cl2 for Cu Ka, from a PBE-relaxed structure.

Unit cell a=6.2716 b=7.0731 c=11.9936 alpha=90.00 beta=102.83 gamma=90.00
Space group P2_1/m (No. 11)
Unique sites:
1 Cu 0.0602 0.0287 0.1920 (multiplicity 4)
2 As 0.2355 0.0720 0.6050 (multiplicity 4)
3 As 0.4250 0.7500 0.4058 (multiplicity 2)
4 As 0.4832 0.2500 0.8926 (multiplicity 2)
5 S 0.2442 0.7500 0.2153 (multiplicity 2)
6 S 0.2967 0.0018 0.7958 (multiplicity 4)
7 Cl 0.1083 0.2500 0.0577 (multiplicity 2)
8 Cl 0.2025 0.2500 0.3546 (multiplicity 2)

Main lines, in order of falling intensity (5 to 70 degrees two-theta):
(hkl)	d/Å	I_rel
1 1 -1	4.572	100
0 1 1	6.052	95
1 2 0	3.061	82
2 0 -1	3.133	80
1 1 3	2.761	70
1 0 2	3.823	63
0 0 5	2.339	58
1 2 -3	2.549	57
2 3 -3	1.780	51
0 1 3	3.414	48
0 2 2	3.026	45
0 4 0	1.767	44


(3)
Theoretical X-ray powder pattern of Te2AsS4N4Cl3F6 for Cu Ka, from a PBE-relaxed structure.

Unit cell a=10.1882 b=10.6189 c=10.6782 alpha=108.37 beta=114.84 gamma=91.45
Space group P1 (No. 1)
Unique sites:
1 Te 0.0000 0.0000 0.0000 (multiplicity 1)
2 Te 0.0275 0.4478 0.5200 (multiplicity 1)
3 Te 0.4416 0.4015 0.4147 (multiplicity 1)
4 Te 0.5712 0.0343 0.1123 (multiplicity 1)
5 As 0.2558 0.0158 0.5129 (multiplicity 1)
6 As 0.7823 0.3982 0.0189 (multiplicity 1)
7 S 0.0341 0.0572 0.8049 (multiplicity 1)
8 S 0.2487 0.6069 0.3052 (multiplicity 1)
9 S 0.2833 0.4812 0.8263 (multiplicity 1)
10 S 0.4944 0.5240 0.2730 (multiplicity 1)
11 S 0.5344 0.9201 0.2687 (multiplicity 1)
12 S 0.7383 0.9457 0.6910 (multiplicity 1)
13 S 0.7871 0.8541 0.2376 (multiplicity 1)
14 S 0.9799 0.4097 0.7201 (multiplicity 1)
15 N 0.1480 0.4429 0.8512 (multiplicity 1)
16 N 0.2407 0.4865 0.6700 (multiplicity 1)
17 N 0.2640 0.4962 0.3755 (multiplicity 1)
18 N 0.3689 0.6177 0.2500 (multiplicity 1)
19 N 0.6681 0.8360 0.2913 (multiplicity 1)
20 N 0.7555 0.9540 0.1519 (multiplicity 1)
21 N 0.7871 0.9472 0.8514 (multiplicity 1)
22 N 0.8692 0.0048 0.6715 (multiplicity 1)
23 Cl 0.0520 0.7784 0.9692 (multiplicity 1)
24 Cl 0.3064 0.1293 0.1264 (multiplicity 1)
25 Cl 0.4221 0.8636 0.8781 (multiplicity 1)
26 Cl 0.6011 0.5653 0.6559 (multiplicity 1)
27 Cl 0.6818 0.3110 0.3862 (multiplicity 1)
28 Cl 0.9692 0.6861 0.5828 (multiplicity 1)
29 F 0.9995 0.2476 0.4222 (multiplicity 1)
30 F 0.0740 0.0187 0.4918 (multiplicity 1)
31 F 0.1831 0.9228 0.3189 (multiplicity 1)
32 F 0.2523 0.8618 0.5447 (multiplicity 1)
33 F 0.2661 0.1675 0.4777 (multiplicity 1)
34 F 0.3253 0.1106 0.7047 (multiplicity 1)
35 F 0.4384 0.0085 0.5336 (multiplicity 1)
36 F 0.6296 0.4733 0.9735 (multiplicity 1)
37 F 0.7168 0.2934 0.8352 (multiplicity 1)
38 F 0.7873 0.2585 0.0696 (multiplicity 1)
39 F 0.8468 0.5028 0.2034 (multiplicity 1)
40 F 0.9398 0.4616 0.0189 (multiplicity 1)

Main lines, in order of falling intensity (5 to 70 degrees two-theta):
(hkl)	d/Å	I_rel
0 2 0	4.954	100
-2 1 1	4.528	87
2 1 -1	4.518	86
1 0 1	5.322	63
1 1 -2	5.180	53
0 1 -1	8.334	46
0 2 -2	4.167	39
-1 1 2	4.043	33
4 2 -4	2.118	28
2 1 -3	3.393	26
1 2 2	2.468	26
4 0 -2	2.544	25


(4)
Theoretical X-ray powder pattern of AsPCl3OF5 for Cu Ka, from a PBE-relaxed structure.

Unit cell a=6.1743 b=20.0581 c=8.4608 alpha=90.00 beta=116.75 gamma=90.00
Space group P2_1/c (No. 14)
Unique sites:
1 As 0.1347 0.1229 0.1817 (multiplicity 4)
2 P 0.1823 0.1102 0.8177 (multiplicity 4)
3 Cl 0.1534 0.6293 0.8588 (multiplicity 4)
4 Cl 0.3085 0.0398 0.7198 (multiplicity 4)
5 Cl 0.3733 0.1913 0.8417 (multiplicity 4)
6 O 0.2006 0.0846 0.9921 (multiplicity 4)
7 F 0.0193 0.1946 0.0491 (multiplicity 4)
8 F 0.0838 0.1549 0.3541 (multiplicity 4)
9 F 0.1529 0.5856 0.4240 (multiplicity 4)
10 F 0.2575 0.0479 0.2943 (multiplicity 4)
11 F 0.4291 0.1573 0.2695 (multiplicity 4)

Main lines, in order of falling intensity (5 to 70 degrees two-theta):
(hkl)	d/Å	I_rel
0 4 0	5.014	100
1 1 0	5.316	72
1 1 -2	4.008	61
1 2 1	3.491	48
1 4 0	3.710	34
1 0 0	5.514	29
1 3 0	4.254	29
0 0 2	3.778	27
0 1 1	7.070	26
1 2 -3	2.715	15
1 3 -1	4.421	13
2 6 -3	2.004	13


(5)
Theoretical X-ray powder pattern of AsS3Cl3F6 for Cu Ka, from a PBE-relaxed structure.

Unit cell a=7.8299 b=8.4547 c=10.3486 alpha=80.84 beta=67.90 gamma=64.12
Space group P-1 (No. 2)
Unique sites:
1 As 0.2114 0.2456 0.2506 (multiplicity 2)
2 S 0.0991 0.1744 0.8926 (multiplicity 2)
3 S 0.3469 0.6569 0.4179 (multiplicity 2)
4 S 0.4586 0.7220 0.5213 (multiplicity 2)
5 Cl 0.1001 0.1561 0.7032 (multiplicity 2)
6 Cl 0.1789 0.7822 0.9809 (multiplicity 2)
7 Cl 0.4994 0.3432 0.7934 (multiplicity 2)
8 F 0.0412 0.6189 0.7404 (multiplicity 2)
9 F 0.1233 0.1228 0.3963 (multiplicity 2)
10 F 0.1954 0.3913 0.3652 (multiplicity 2)
11 F 0.2282 0.0994 0.1359 (multiplicity 2)
12 F 0.3026 0.3666 0.1053 (multiplicity 2)
13 F 0.4652 0.1099 0.2427 (multiplicity 2)

Main lines, in order of falling intensity (5 to 70 degrees two-theta):
(hkl)	d/Å	I_rel
1 1 2	4.671	100
1 0 -1	4.732	96
0 2 0	3.803	94
2 1 1	3.913	84
1 -1 0	4.206	78
1 2 1	4.099	73
1 2 -1	3.520	73
2 1 0	3.623	63
0 1 -1	5.974	60
1 -1 2	3.582	51
1 1 -2	3.356	44
2 -1 1	2.769	42